This entry pairs a crystal structure of FePbOF2 with its simulated powder diffractogram. Radiation: Cu Kα. Structure: DFT lattice parameters and positions (GGA+U).
Lines closer than 0.1° are merged.

Structural model:
Cell lengths 5.855, 5.855, 5.855 Å; angles 120.21, 120.21, 89.64 degrees
Positions (direct):
Fe1 0.000 0.000 0.000
Fe2 0.500 0.500 0.000
Pb1 0.250 0.750 0.500
Pb2 0.750 0.250 0.500
O1 0.250 0.250 0.000
O2 0.750 0.750 0.000
F1 0.176 0.676 0.853
F2 0.324 0.176 0.500
F3 0.676 0.824 0.500
F4 0.824 0.324 0.147

Principal peaks in the range 2θ = 10–80°, in order of rising 2θ:
Position (°2θ)	d [Å]	I/Imax
21.4	4.153	9
21.5	4.127	23
30.6	2.924	100
37.7	2.388	22
43.6	2.077	11
43.9	2.063	18
49.1	1.855	6
49.3	1.847	11
54.2	1.692	15
54.4	1.687	31
63.6	1.464	11
72.4	1.305	12